Entry 1:
For Sm2Si2O7, a PBE-relaxed structure gives the computed X-ray powder pattern in this record (Cu Kα X-rays).
No peak broadening, texture or thermal motion is included.

Atomic structure:
```
data_Sm2Si2O7
_space_group_name_H-M_alt 'P 1'
_space_group_IT_number 1
_space_group_name_Hall 'P 1'
_cell_length_a 5.475
_cell_length_b 8.612
_cell_length_c 13.080
_cell_angle_alpha 90.46
_cell_angle_beta 92.39
_cell_angle_gamma 92.51
loop_
_atom_site_label
_atom_site_type_symbol
_atom_site_fract_x
_atom_site_fract_y
_atom_site_fract_z
Sm1 Sm 0.229 0.326 0.264
Sm2 Sm 0.235 0.798 0.241
Sm3 Sm 0.250 0.903 0.908
Sm4 Sm 0.257 0.395 0.586
Sm5 Sm 0.743 0.605 0.414
Sm6 Sm 0.750 0.097 0.092
Sm7 Sm 0.765 0.202 0.759
Sm8 Sm 0.771 0.674 0.736
Si1 Si 0.199 0.255 0.981
Si2 Si 0.215 0.004 0.679
Si3 Si 0.295 0.501 0.820
Si4 Si 0.302 0.747 0.527
Si5 Si 0.698 0.253 0.473
Si6 Si 0.705 0.499 0.180
Si7 Si 0.785 0.996 0.321
Si8 Si 0.801 0.745 0.019
O1 O 0.006 0.091 0.264
O2 O 0.019 0.854 0.083
O3 O 0.044 0.472 0.745
O4 O 0.047 0.647 0.548
O5 O 0.098 0.272 0.096
O6 O 0.105 0.174 0.657
O7 O 0.245 0.428 0.932
O8 O 0.297 0.922 0.574
O9 O 0.378 0.747 0.408
O10 O 0.391 0.683 0.822
O11 O 0.440 0.151 0.976
O12 O 0.450 0.016 0.762
O13 O 0.480 0.359 0.418
O14 O 0.485 0.585 0.239
O15 O 0.515 0.415 0.761
O16 O 0.520 0.641 0.582
O17 O 0.550 0.984 0.238
O18 O 0.560 0.849 0.024
O19 O 0.609 0.317 0.178
O20 O 0.622 0.253 0.592
O21 O 0.703 0.078 0.426
O22 O 0.755 0.572 0.068
O23 O 0.895 0.826 0.343
O24 O 0.902 0.728 0.904
O25 O 0.953 0.353 0.452
O26 O 0.956 0.528 0.255
O27 O 0.981 0.146 0.917
O28 O 0.994 0.909 0.736
```

Most intense lines, 10° ≤ 2θ ≤ 90°, low angle first:
| 2theta | d (Å) | intensity | (hkl) |
| --- | --- | --- | --- |
| 12.26 | 7.219 | 45 | 0 1 -1 |
| 12.37 | 7.153 | 54 | 0 1 1 |
| 25.61 | 3.478 | 82 | 1 0 -3 |
| 25.79 | 3.455 | 72 | 1 -2 0 |
| 26.70 | 3.338 | 100 | 1 0 3 |
| 26.94 | 3.310 | 50 | 1 2 0 |
| 27.58 | 3.234 | 32 | 1 2 -1 |
| 29.03 | 3.076 | 38 | 0 2 -3 |
| 29.33 | 3.045 | 40 | 0 2 3 |
| 32.78 | 2.732 | 50 | 2 0 0 |


Entry 2:
For HfCl4, a PBE-relaxed structure gives the computed X-ray powder pattern in this record (Cu Kα X-rays).
No peak broadening, texture or thermal motion is included.

Atomic structure:
```
data_HfCl4
_space_group_name_H-M_alt 'P 1'
_space_group_IT_number 1
_space_group_name_Hall 'P 1'
_cell_length_a 6.916
_cell_length_b 7.943
_cell_length_c 6.324
_cell_angle_alpha 90.00
_cell_angle_beta 107.93
_cell_angle_gamma 90.00
loop_
_atom_site_label
_atom_site_type_symbol
_atom_site_fract_x
_atom_site_fract_y
_atom_site_fract_z
Hf1 Hf 0.000 0.153 0.250
Hf2 Hf 0.000 0.847 0.750
Cl1 Cl 0.206 0.100 0.995
Cl2 Cl 0.206 0.900 0.495
Cl3 Cl 0.236 0.341 0.464
Cl4 Cl 0.236 0.659 0.964
Cl5 Cl 0.764 0.341 0.036
Cl6 Cl 0.764 0.659 0.536
Cl7 Cl 0.794 0.100 0.505
Cl8 Cl 0.794 0.900 0.005
```

Most intense lines, 10° ≤ 2θ ≤ 90°, low angle first:
| 2theta | d (Å) | intensity | (hkl) |
| --- | --- | --- | --- |
| 11.14 | 7.943 | 54 | 0 1 0 |
| 13.46 | 6.580 | 100 | 1 0 0 |
| 17.50 | 5.067 | 35 | 1 1 0 |
| 18.50 | 4.796 | 58 | 0 1 1 |
| 20.06 | 4.427 | 52 | 1 1 -1 |
| 25.53 | 3.490 | 17 | 1 1 1 |
| 26.90 | 3.315 | 21 | 0 2 1 |
| 32.23 | 2.777 | 52 | 1 2 1 |
| 33.61 | 2.666 | 25 | 2 0 -2 |
| 45.59 | 1.990 | 27 | 3 2 -1 |


Entry 3:
For EuMgSn, a PBE-relaxed structure gives the computed X-ray powder pattern in this record (Cu Kα X-rays).
No peak broadening, texture or thermal motion is included.

Atomic structure:
```
data_EuMgSn
_space_group_name_H-M_alt 'P 1'
_space_group_IT_number 1
_space_group_name_Hall 'P 1'
_cell_length_a 8.044
_cell_length_b 4.891
_cell_length_c 8.791
_cell_angle_alpha 90.00
_cell_angle_beta 90.00
_cell_angle_gamma 90.00
loop_
_atom_site_label
_atom_site_type_symbol
_atom_site_fract_x
_atom_site_fract_y
_atom_site_fract_z
Eu1 Eu 0.011 0.250 0.192
Eu2 Eu 0.489 0.750 0.692
Eu3 Eu 0.511 0.250 0.308
Eu4 Eu 0.989 0.750 0.808
Mg1 Mg 0.153 0.250 0.570
Mg2 Mg 0.347 0.750 0.070
Mg3 Mg 0.653 0.250 0.930
Mg4 Mg 0.847 0.750 0.430
Sn1 Sn 0.224 0.750 0.394
Sn2 Sn 0.276 0.250 0.894
Sn3 Sn 0.724 0.750 0.106
Sn4 Sn 0.776 0.250 0.606
```

Most intense lines, 10° ≤ 2θ ≤ 90°, low angle first:
| 2theta | d (Å) | intensity | (hkl) |
| --- | --- | --- | --- |
| 23.06 | 3.857 | 18 | 1 0 2 |
| 23.57 | 3.775 | 25 | 1 1 1 |
| 29.49 | 3.029 | 41 | 1 1 2 |
| 30.12 | 2.967 | 23 | 2 0 2 |
| 30.52 | 2.929 | 100 | 2 1 1 |
| 32.52 | 2.753 | 16 | 1 0 3 |
| 35.72 | 2.514 | 30 | 0 1 3 |
| 36.75 | 2.446 | 29 | 0 2 0 |
| 57.40 | 1.605 | 15 | 3 1 4 |
| 62.35 | 1.489 | 13 | 2 3 1 |